1.
For TbHoS3, a crystal structure in Alexandria, relaxed with PBE gives the calculated PXRD pattern in this record (λ = 1.5418 Å (Cu Kα)).

Structure:
```
data_TbHoS3
_symmetry_space_group_name_H-M 'C 1 2/m 1'
_symmetry_Int_Tables_number 12
_symmetry_space_group_name_Hall '-C 2y'
_cell_length_a 15.865
_cell_length_b 4.108
_cell_length_c 8.342
_cell_angle_alpha 90.00
_cell_angle_beta 117.80
_cell_angle_gamma 90.00
loop_
_atom_site_label
_atom_site_type_symbol
_atom_site_fract_x
_atom_site_fract_y
_atom_site_fract_z
Tb1 Tb 0.129 0.000 0.290
Ho1 Ho 0.148 0.500 0.761
S1 S 0.045 0.500 0.364
S2 S 0.144 0.000 0.973
S3 S 0.234 0.000 0.657
```

Top 10 peaks for 2θ from 5° to 70°, in order of rising 2θ:
(hkl), 2theta, intensity
0 0 2, 24.14, 100
4 0 0, 25.39, 41
4 0 -2, 25.61, 23
1 1 1, 27.00, 33
3 1 -1, 27.68, 31
5 1 -1, 35.87, 42
3 1 -3, 39.18, 32
0 2 0, 44.09, 21
5 1 1, 45.31, 26
1 1 3, 45.98, 23

=====

2.
For Tb5Y3Ho4, a crystal structure in Alexandria, relaxed with PBE gives the calculated PXRD pattern in this record (λ = 1.5418 Å (Cu Kα)).

Structure:
```
data_Tb5Y3Ho4
_symmetry_space_group_name_H-M 'P -1'
_symmetry_Int_Tables_number 2
_symmetry_space_group_name_Hall '-P 1'
_cell_length_a 6.148
_cell_length_b 7.106
_cell_length_c 8.690
_cell_angle_alpha 90.03
_cell_angle_beta 90.07
_cell_angle_gamma 90.13
loop_
_atom_site_label
_atom_site_type_symbol
_atom_site_fract_x
_atom_site_fract_y
_atom_site_fract_z
Tb1 Tb 0.000 0.000 0.000
Tb2 Tb 0.334 0.500 0.333
Tb3 Tb 0.499 0.751 0.999
Y1 Y 0.000 0.500 0.000
Y2 Y 0.166 0.249 0.665
Ho1 Ho 0.167 0.751 0.666
Ho2 Ho 0.334 0.000 0.333
```

Top 10 peaks for 2θ from 5° to 70°, in order of rising 2θ:
(hkl), 2theta, intensity
0 1 -1, 16.11, 2
1 1 0, 19.11, 1
2 0 1, 30.85, 100
1 2 2, 35.77, 51
0 4 0, 51.45, 24
3 2 0, 51.54, 12
0 4 3, 61.19, 21
3 2 3, 61.27, 21
-2 4 2, 64.17, 3
4 0 2, 64.30, 9

=====

3.
For SmEr4Os2, a crystal structure in Alexandria, relaxed with PBE gives the calculated PXRD pattern in this record (λ = 1.5418 Å (Cu Kα)).

Structure:
```
data_SmEr4Os2
_symmetry_space_group_name_H-M 'P 1 21/m 1'
_symmetry_Int_Tables_number 11
_symmetry_space_group_name_Hall '-P 2yb'
_cell_length_a 7.727
_cell_length_b 6.284
_cell_length_c 7.948
_cell_angle_alpha 90.00
_cell_angle_beta 112.32
_cell_angle_gamma 90.00
loop_
_atom_site_label
_atom_site_type_symbol
_atom_site_fract_x
_atom_site_fract_y
_atom_site_fract_z
Sm1 Sm 0.022 0.250 0.160
Er1 Er 0.242 0.501 0.580
Er2 Er 0.327 0.750 0.255
Er3 Er 0.382 0.250 0.019
Os1 Os 0.026 0.250 0.739
Os2 Os 0.415 0.250 0.375
```

Top 10 peaks for 2θ from 5° to 70°, in order of rising 2θ:
(hkl), 2theta, intensity
0 0 1, 12.04, 45
0 2 0, 28.41, 46
2 1 -2, 30.95, 91
2 0 1, 31.67, 100
1 0 -3, 33.86, 50
1 1 2, 34.48, 50
1 2 -2, 36.61, 71
2 2 -1, 36.97, 51
3 0 0, 37.70, 51
2 2 0, 38.14, 67

=====

4.
For La3PmNd8, a crystal structure in Alexandria, relaxed with PBE gives the calculated PXRD pattern in this record (λ = 1.5418 Å (Cu Kα)).

Structure:
```
data_La3PmNd8
_symmetry_space_group_name_H-M 'I -4 2 m'
_symmetry_Int_Tables_number 121
_symmetry_space_group_name_Hall 'I -4 2'
_cell_length_a 8.953
_cell_length_b 8.953
_cell_length_c 11.603
_cell_angle_alpha 90.00
_cell_angle_beta 90.00
_cell_angle_gamma 90.00
loop_
_atom_site_label
_atom_site_type_symbol
_atom_site_fract_x
_atom_site_fract_y
_atom_site_fract_z
La1 La 0.000 0.000 0.000
La2 La 0.000 0.500 0.250
Pm1 Pm 0.000 0.000 0.500
Nd1 Nd 0.122 0.122 0.251
Nd2 Nd 0.250 0.250 0.001
```

Top 10 peaks for 2θ from 5° to 70°, in order of rising 2θ:
(hkl), 2theta, intensity
1 1 0, 13.99, 33
2 1 1, 23.50, 66
2 0 2, 25.13, 61
2 2 0, 28.19, 84
0 0 4, 30.83, 76
2 2 2, 32.20, 61
3 1 2, 35.27, 100
2 2 4, 42.26, 56
4 0 2, 43.32, 70
4 4 4, 67.39, 38

=====

5.
For LiSmTmAg, a crystal structure in Alexandria, relaxed with PBE gives the calculated PXRD pattern in this record (λ = 1.5418 Å (Cu Kα)).

Structure:
```
data_LiSmTmAg
_symmetry_space_group_name_H-M 'F -4 3 m'
_symmetry_Int_Tables_number 216
_symmetry_space_group_name_Hall 'F -4 2 3'
_cell_length_a 7.333
_cell_length_b 7.333
_cell_length_c 7.333
_cell_angle_alpha 90.00
_cell_angle_beta 90.00
_cell_angle_gamma 90.00
loop_
_atom_site_label
_atom_site_type_symbol
_atom_site_fract_x
_atom_site_fract_y
_atom_site_fract_z
Li1 Li 0.000 0.000 0.000
Sm1 Sm 0.250 0.250 0.250
Tm1 Tm 0.250 0.250 0.750
Ag1 Ag 0.000 0.000 0.500
```

Top 10 peaks for 2θ from 5° to 70°, in order of rising 2θ:
(hkl), 2theta, intensity
1 1 1, 20.98, 15
2 0 0, 24.27, 26
2 2 0, 34.60, 100
3 1 1, 40.81, 8
2 2 2, 42.71, 8
4 0 0, 49.73, 18
3 3 1, 54.55, 3
4 2 0, 56.09, 11
4 2 2, 62.00, 36
5 1 1, 66.22, 2

=====

6.
For BaP3S9, a crystal structure in Alexandria, relaxed with PBE gives the calculated PXRD pattern in this record (λ = 1.5418 Å (Cu Kα)).

Structure:
```
data_BaP3S9
_symmetry_space_group_name_H-M 'C 2 2 21'
_symmetry_Int_Tables_number 20
_symmetry_space_group_name_Hall 'C 2c 2'
_cell_length_a 10.576
_cell_length_b 14.052
_cell_length_c 9.806
_cell_angle_alpha 90.00
_cell_angle_beta 90.00
_cell_angle_gamma 90.00
loop_
_atom_site_label
_atom_site_type_symbol
_atom_site_fract_x
_atom_site_fract_y
_atom_site_fract_z
Ba1 Ba 0.142 0.000 0.000
P1 P 0.011 0.339 0.083
P2 P 0.234 0.000 0.500
S1 S 0.000 0.439 0.250
S2 S 0.093 0.218 0.157
S3 S 0.130 0.030 0.664
S4 S 0.144 0.390 0.932
S5 S 0.149 0.326 0.518
```

Top 10 peaks for 2θ from 5° to 70°, in order of rising 2θ:
(hkl), 2theta, intensity
0 2 0, 12.60, 64
1 1 1, 13.83, 65
0 0 2, 18.09, 75
2 0 1, 19.07, 44
1 3 0, 20.74, 100
2 2 1, 22.92, 47
3 1 0, 26.06, 37
1 3 2, 27.65, 92
3 3 0, 31.77, 34
2 2 3, 34.70, 98